This entry pairs a crystal structure of CaSnO6 with its simulated X-ray diffraction stick pattern. Radiation: Cu Kα (λ = 1.5418 Å). Structure: a structure optimized by DFT (GGA-PBE).
Neutral-atom scattering factors, no anomalous dispersion.

Cell and atoms:
abc: 6.2244 6.2244 6.2244
angles: 60.00 60.00 60.00
Element x y z (fractional)
Ca (0.0000, 0.0000, 0.0000)
Sn (0.5000, 0.5000, 0.5000)
O (0.2658, 0.2658, 0.7342)
O (0.2658, 0.7342, 0.2658)
O (0.2658, 0.7342, 0.7342)
O (0.7342, 0.2658, 0.2658)
O (0.7342, 0.2658, 0.7342)
O (0.7342, 0.7342, 0.2658)

Most intense lines, 2θ = 10–90°, low angle first:
| Position (°2θ) | I_rel |
| --- | --- |
| 17.45 | 34 |
| 20.18 | 100 |
| 28.68 | 35 |
| 33.77 | 15 |
| 41.01 | 26 |
| 46.12 | 41 |
| 50.81 | 15 |
| 59.39 | 15 |
| 63.40 | 19 |
| 81.90 | 9 |